[1]
Computed powder X-ray diffraction pattern of Ho12InNi6 for Cu Kα (λ = 1.5418 Å), from a structure optimized by DFT (PBE).

Crystal structure
```
data_Ho12InNi6
_cell_length_a 9.6537
_cell_length_b 9.6537
_cell_length_c 9.6537
_cell_angle_alpha 90.00
_cell_angle_beta 90.00
_cell_angle_gamma 90.00
_space_group_name_H-M_alt 'I m -3'
_space_group_IT_number 204
_space_group_name_Hall '-I 2 2 3'
loop_
_atom_site_label
_atom_site_type_symbol
_atom_site_fract_x
_atom_site_fract_y
_atom_site_fract_z
Ho1 Ho 0.0000 0.1874 0.3028
In1 In 0.0000 0.0000 0.0000
Ni1 Ni 0.0000 0.3767 0.5000
```

Main lines, by intensity (5° ≤ 2θ ≤ 70°):
- (3 2 1), 34.77°, I = 100
- (3 1 0), 29.25°, I = 43
- (2 2 2), 32.12°, I = 41
- (5 3 2), 58.98°, I = 35
- (5 0 3), 55.50°, I = 35
- (5 1 0), 48.06°, I = 19
- (5 4 3), 68.76°, I = 18
- (4 0 0), 37.26°, I = 16
- (6 0 0), 57.26°, I = 13
- (3 3 0), 39.61°, I = 10
- (2 2 0), 26.11°, I = 9
- (4 0 2), 41.85°, I = 6

=====

[2]
Computed powder X-ray diffraction pattern of Pu3Ga2Tc for Cu Kα (λ = 1.5418 Å), from a structure optimized by DFT (PBE).

Crystal structure
```
data_Pu3Ga2Tc
_cell_length_a 11.7859
_cell_length_b 6.2297
_cell_length_c 6.3036
_cell_angle_alpha 90.00
_cell_angle_beta 101.73
_cell_angle_gamma 90.00
_space_group_name_H-M_alt 'C 1 2/c 1'
_space_group_IT_number 15
loop_
_space_group_symop_operation_xyz
'x,y,z'
'-x,-y,-z'
'-x,y,-z+1/2'
'x,-y,z+1/2'
'x+1/2,y+1/2,z'
'-x+1/2,-y+1/2,-z'
'-x+1/2,y+1/2,-z+1/2'
'x+1/2,-y+1/2,z+1/2'
loop_
_atom_site_label
_atom_site_type_symbol
_atom_site_fract_x
_atom_site_fract_y
_atom_site_fract_z
Pu1 Pu 0.0000 0.0073 0.2500
Pu2 Pu 0.1353 0.1920 0.5562
Ga1 Ga 0.1518 0.3138 0.0557
Tc1 Tc 0.0000 0.4956 0.7500
```

Main lines, by intensity (5° ≤ 2θ ≤ 70°):
- (4 2 0), 42.72°, I = 100
- (4 0 -2), 38.13°, I = 99
- (2 0 2), 35.68°, I = 95
- (0 2 2), 41.18°, I = 90
- (1 1 0), 16.17°, I = 82
- (1 1 1), 22.71°, I = 64
- (2 2 0), 32.67°, I = 62
- (2 2 -1), 34.50°, I = 60
- (2 2 -2), 41.92°, I = 59
- (2 0 0), 15.36°, I = 57
- (6 0 0), 47.29°, I = 57
- (3 1 -1), 28.58°, I = 44

=====

[3]
Computed powder X-ray diffraction pattern of Ac2Pm3Nd for Cu Kα (λ = 1.5418 Å), from a structure optimized by DFT (PBE).

Crystal structure
```
data_Ac2Pm3Nd
_cell_length_a 7.2989
_cell_length_b 17.2342
_cell_length_c 3.6815
_cell_angle_alpha 90.00
_cell_angle_beta 90.00
_cell_angle_gamma 90.00
_space_group_name_H-M_alt 'P n n m'
_space_group_IT_number 58
loop_
_space_group_symop_operation_xyz
'x,y,z'
'-x,-y,-z'
'-x,-y,z'
'x,y,-z'
'x+1/2,-y+1/2,-z+1/2'
'-x+1/2,y+1/2,z+1/2'
'-x+1/2,y+1/2,-z+1/2'
'x+1/2,-y+1/2,z+1/2'
loop_
_atom_site_label
_atom_site_type_symbol
_atom_site_fract_x
_atom_site_fract_y
_atom_site_fract_z
Ac1 Ac 0.2494 0.1653 0.0000
Pm1 Pm 0.0000 0.0000 0.5000
Pm2 Pm 0.2497 0.3544 0.5000
Nd1 Nd 0.0000 0.5000 0.0000
```

Main lines, by intensity (5° ≤ 2θ ≤ 70°):
- (0 3 1), 28.80°, I = 100
- (2 1 1), 35.01°, I = 58
- (2 4 0), 32.14°, I = 46
- (2 2 0), 26.52°, I = 41
- (0 6 0), 31.14°, I = 36
- (2 7 1), 51.17°, I = 28
- (4 3 1), 58.72°, I = 27
- (2 3 1), 38.09°, I = 17
- (2 4 2), 60.27°, I = 15
- (2 0 0), 24.39°, I = 15
- (2 5 1), 43.70°, I = 13
- (4 6 0), 60.07°, I = 13

=====

[4]
Computed powder X-ray diffraction pattern of Sr3Cu4 for Cu Kα (λ = 1.5418 Å), from a structure optimized by DFT (PBE).

Crystal structure
```
data_Sr3Cu4
_cell_length_a 4.4980
_cell_length_b 13.7912
_cell_length_c 5.9930
_cell_angle_alpha 90.00
_cell_angle_beta 111.91
_cell_angle_gamma 90.00
_space_group_name_H-M_alt 'P 1 m 1'
_space_group_IT_number 6
loop_
_space_group_symop_operation_xyz
'x,y,z'
'x,-y,z'
loop_
_atom_site_label
_atom_site_type_symbol
_atom_site_fract_x
_atom_site_fract_y
_atom_site_fract_z
Sr1 Sr 0.0000 0.0000 0.0000
Sr2 Sr 0.0334 0.5000 0.0616
Sr3 Sr 0.2859 0.1459 0.5705
Sr4 Sr 0.7478 0.3540 0.4911
Cu1 Cu 0.0168 0.2501 0.0328
Cu2 Cu 0.3463 0.5000 0.6863
Cu3 Cu 0.4602 0.3311 0.9182
Cu4 Cu 0.5724 0.1691 0.1439
Cu5 Cu 0.6872 0.0000 0.3753
```

Main lines, by intensity (5° ≤ 2θ ≤ 70°):
- (1 3 0), 28.91°, I = 100
- (1 3 -2), 37.01°, I = 99
- (2 0 -1), 40.09°, I = 89
- (1 4 -1), 33.73°, I = 81
- (1 1 1), 31.95°, I = 72
- (0 3 2), 37.82°, I = 70
- (0 4 1), 30.51°, I = 61
- (1 0 -2), 31.27°, I = 59
- (0 6 0), 39.18°, I = 59
- (0 0 2), 32.20°, I = 51
- (0 4 3), 56.36°, I = 48
- (1 4 1), 41.00°, I = 44